Diffraction record for Nd12Sm7Sc. The XRD peak list is simulated, not measured: it uses a DFT-relaxed cell (PBE, Alexandria) and Cu Kα (weighted mean of Kα1 and Kα2).

Peak list (6 most intense, 5° ≤ 2θ ≤ 70°, by intensity)
2θ = 31.4°, rel. 100.0
2θ = 30.7°, rel. 64.1
2θ = 32.5°, rel. 57.3
2θ = 26.4°, rel. 54.5
2θ = 45.8°, rel. 35.8
2θ = 34.2°, rel. 23.9

Cell and atoms:
```
data_Nd12Sm7Sc
_cell_length_a 17.0696
_cell_length_b 17.0696
_cell_length_c 8.2698
_cell_angle_alpha 90.00
_cell_angle_beta 90.00
_cell_angle_gamma 120.00
_symmetry_space_group_name_H-M 'R -3 m'
_symmetry_Int_Tables_number 166
_symmetry_space_group_name_Hall '-R 3 2"'
loop_
_atom_site_label
_atom_site_fract_x
_atom_site_fract_y
_atom_site_fract_z
Nd1 0.0000 0.2846 0.0000
Nd2 0.1006 0.2012 0.7416
Sm1 0.0000 0.0000 0.0000
Sm2 0.1050 0.5525 0.9920
Sc1 0.0000 0.0000 0.5000
```

=====

Diffraction record for Sr4Sn2N. The XRD peak list is simulated, not measured: it uses a DFT-relaxed cell (PBE, Alexandria) and Cu Kα (weighted mean of Kα1 and Kα2).

Peak list (6 most intense, 5° ≤ 2θ ≤ 70°, by intensity)
2θ = 32.4°, rel. 100.0
2θ = 33.5°, rel. 54.1
2θ = 48.0°, rel. 35.2
2θ = 26.0°, rel. 34.0
2θ = 59.2°, rel. 33.7
2θ = 23.5°, rel. 23.8

Cell and atoms:
```
data_Sr4Sn2N
_cell_length_a 5.357
_cell_length_b 5.357
_cell_length_c 16.128
_cell_angle_alpha 90.00
_cell_angle_beta 90.00
_cell_angle_gamma 90.00
_symmetry_space_group_name_H-M 'I 4/m m m'
_symmetry_Int_Tables_number 139
_symmetry_space_group_name_Hall '-I 4 2'
loop_
_atom_site_label
_atom_site_fract_x
_atom_site_fract_y
_atom_site_fract_z
Sr1 0.000 0.000 0.159
Sr2 0.000 0.500 0.000
Sn1 0.000 0.000 0.372
N1 0.000 0.000 0.000
```

=====

Diffraction record for NdNbS. The XRD peak list is simulated, not measured: it uses a DFT-relaxed cell (PBE, Alexandria) and Cu Kα (weighted mean of Kα1 and Kα2).

Peak list (6 most intense, 5° ≤ 2θ ≤ 70°, by intensity)
2θ = 25.9°, rel. 100.0
2θ = 34.4°, rel. 98.3
2θ = 24.9°, rel. 88.7
2θ = 37.7°, rel. 88.1
2θ = 55.2°, rel. 47.8
2θ = 47.8°, rel. 45.4

Cell and atoms:
```
data_NdNbS
_cell_length_a 3.806
_cell_length_b 3.806
_cell_length_c 10.304
_cell_angle_alpha 90.00
_cell_angle_beta 90.00
_cell_angle_gamma 90.00
_symmetry_space_group_name_H-M 'P 4/n m m'
_symmetry_Int_Tables_number 129
loop_
_symmetry_equiv_pos_as_xyz
'x,y,z'
'-x,-y,-z'
'-y+1/2,x,z'
'y+1/2,-x,-z'
'-x+1/2,-y+1/2,z'
'x+1/2,y+1/2,-z'
'y,-x+1/2,z'
'-y,x+1/2,-z'
'x+1/2,-y,-z'
'-x+1/2,y,z'
'-y,-x,-z'
'y,x,z'
'-x,y+1/2,-z'
'x,-y+1/2,z'
'y+1/2,x+1/2,-z'
'-y+1/2,-x+1/2,z'
loop_
_atom_site_label
_atom_site_fract_x
_atom_site_fract_y
_atom_site_fract_z
Nd1 0.250 0.250 0.187
Nb1 0.250 0.750 0.500
S1 0.250 0.250 0.891
```

=====

Diffraction record for PmSm6Y2Tm. The XRD peak list is simulated, not measured: it uses a DFT-relaxed cell (PBE, Alexandria) and Cu Kα (weighted mean of Kα1 and Kα2).

Peak list (6 most intense, 5° ≤ 2θ ≤ 70°, by intensity)
2θ = 30.7°, rel. 100.0
2θ = 30.1°, rel. 57.8
2θ = 31.0°, rel. 41.8
2θ = 28.2°, rel. 39.2
2θ = 31.3°, rel. 37.7
2θ = 34.0°, rel. 35.2

Cell and atoms:
```
data_PmSm6Y2Tm
_cell_length_a 9.318
_cell_length_b 15.192
_cell_length_c 9.537
_cell_angle_alpha 90.00
_cell_angle_beta 96.02
_cell_angle_gamma 90.00
_symmetry_space_group_name_H-M 'C 1 2/c 1'
_symmetry_Int_Tables_number 15
loop_
_symmetry_equiv_pos_as_xyz
'x,y,z'
'-x,-y,-z'
'-x,y,-z+1/2'
'x,-y,z+1/2'
'x+1/2,y+1/2,z'
'-x+1/2,-y+1/2,-z'
'-x+1/2,y+1/2,-z+1/2'
'x+1/2,-y+1/2,z+1/2'
loop_
_atom_site_label
_atom_site_fract_x
_atom_site_fract_y
_atom_site_fract_z
Pm1 0.000 0.031 0.250
Sm1 0.061 0.179 0.943
Sm2 0.095 0.387 0.116
Sm3 0.215 0.224 0.314
Y1 0.247 0.451 0.451
Tm1 0.000 0.411 0.750
```

=====

Diffraction record for NdTlCd4. The XRD peak list is simulated, not measured: it uses a DFT-relaxed cell (PBE, Alexandria) and Cu Kα (weighted mean of Kα1 and Kα2).

Peak list (6 most intense, 5° ≤ 2θ ≤ 70°, by intensity)
2θ = 33.6°, rel. 100.0
2θ = 34.7°, rel. 89.9
2θ = 33.4°, rel. 50.6
2θ = 35.2°, rel. 43.4
2θ = 49.3°, rel. 33.6
2θ = 66.7°, rel. 25.6

Cell and atoms:
```
data_NdTlCd4
_cell_length_a 6.670
_cell_length_b 18.030
_cell_length_c 5.095
_cell_angle_alpha 90.00
_cell_angle_beta 90.00
_cell_angle_gamma 90.00
_symmetry_space_group_name_H-M 'C m c m'
_symmetry_Int_Tables_number 63
_symmetry_space_group_name_Hall '-C 2c 2'
loop_
_atom_site_label
_atom_site_fract_x
_atom_site_fract_y
_atom_site_fract_z
Nd1 0.000 0.120 0.250
Tl1 0.000 0.378 0.750
Cd1 0.245 0.043 0.750
Cd2 0.245 0.209 0.750
```